Record 1
The following is a computed X-ray diffraction stick pattern of Zr6Al7Cu16H9. It was derived from the PBE geometry in the Materials Project, using Cu Ka.
Neutral-atom scattering factors, no anomalous dispersion.

Cell and atoms:
```
data_Zr6Al7Cu16H9
_chemical_formula_sum 'Zr6 Al7 Cu16 H9'
_cell_length_a 8.558
_cell_length_b 8.558
_cell_length_c 8.558
_cell_angle_alpha 60.00
_cell_angle_beta 60.00
_cell_angle_gamma 60.00
_symmetry_space_group_name_H-M 'P 1'
_symmetry_Int_Tables_number 1
_symmetry_space_group_name_Hall 'P 1'
loop_
_atom_site_label
_atom_site_fract_x
_atom_site_fract_y
_atom_site_fract_z
Zr1 0.200 0.200 0.800
Zr2 0.200 0.800 0.200
Zr3 0.200 0.800 0.800
Zr4 0.800 0.200 0.200
Zr5 0.800 0.200 0.800
Zr6 0.800 0.800 0.200
Al1 0.000 0.000 0.500
Al2 0.000 0.500 0.000
Al3 0.000 0.500 0.500
Al4 0.500 0.000 0.000
Al5 0.500 0.000 0.500
Al6 0.500 0.500 0.000
Al7 0.500 0.500 0.500
Cu1 0.142 0.619 0.619
Cu2 0.175 0.175 0.175
Cu3 0.175 0.175 0.474
Cu4 0.175 0.474 0.175
Cu5 0.381 0.381 0.381
Cu6 0.381 0.381 0.858
Cu7 0.381 0.858 0.381
Cu8 0.474 0.175 0.175
Cu9 0.526 0.825 0.825
Cu10 0.619 0.142 0.619
Cu11 0.619 0.619 0.142
Cu12 0.619 0.619 0.619
Cu13 0.825 0.526 0.825
Cu14 0.825 0.825 0.526
Cu15 0.825 0.825 0.825
Cu16 0.858 0.381 0.381
H1 0.000 0.000 0.000
H2 0.094 0.094 0.094
H3 0.094 0.094 0.719
H4 0.094 0.719 0.094
H5 0.281 0.906 0.906
H6 0.719 0.094 0.094
H7 0.906 0.281 0.906
H8 0.906 0.906 0.281
H9 0.906 0.906 0.906
```

Main lines, low angle first (10° ≤ 2θ ≤ 80°):
3.494 Å, rel. 24
2.471 Å, rel. 22
2.329 Å, rel. 100
2.140 Å, rel. 76
2.046 Å, rel. 22
2.017 Å, rel. 17
1.426 Å, rel. 23
1.216 Å, rel. 19

---

Record 2
The following is a computed X-ray diffraction stick pattern of HfAlCu. It was derived from the PBE geometry in the Materials Project, using Cu Ka.
Neutral-atom scattering factors, no anomalous dispersion.

Cell and atoms:
```
data_HfAlCu
_chemical_formula_sum 'Hf4 Al4 Cu4'
_cell_length_a 8.325
_cell_length_b 5.155
_cell_length_c 5.155
_cell_angle_alpha 61.12
_cell_angle_beta 90.00
_cell_angle_gamma 90.00
_symmetry_space_group_name_H-M 'P 1'
_symmetry_Int_Tables_number 1
_symmetry_space_group_name_Hall 'P 1'
loop_
_atom_site_label
_atom_site_fract_x
_atom_site_fract_y
_atom_site_fract_z
Hf1 0.182 0.000 0.000
Hf2 0.304 0.332 0.332
Hf3 0.696 0.332 0.332
Hf4 0.818 0.000 0.000
Al1 0.238 0.670 0.670
Al2 0.500 0.318 0.832
Al3 0.500 0.832 0.318
Al4 0.762 0.670 0.670
Cu1 0.000 0.011 0.492
Cu2 0.000 0.492 0.011
Cu3 0.000 0.494 0.494
Cu4 0.500 0.831 0.831
```

Main lines, low angle first (10° ≤ 2θ ≤ 80°):
4.514 Å, rel. 32
2.621 Å, rel. 36
2.577 Å, rel. 53
2.364 Å, rel. 100
2.353 Å, rel. 40
2.219 Å, rel. 45
2.191 Å, rel. 85
2.179 Å, rel. 46

---

Record 3
The following is a computed X-ray diffraction stick pattern of HoAl8Cu4. It was derived from the PBE geometry in the Materials Project, using Cu Ka.
Neutral-atom scattering factors, no anomalous dispersion.

Cell and atoms:
```
data_HoAl8Cu4
_chemical_formula_sum 'Ho1 Al8 Cu4'
_cell_length_a 6.716
_cell_length_b 6.716
_cell_length_c 6.716
_cell_angle_alpha 98.29
_cell_angle_beta 98.29
_cell_angle_gamma 135.36
_symmetry_space_group_name_H-M 'P 1'
_symmetry_Int_Tables_number 1
_symmetry_space_group_name_Hall 'P 1'
loop_
_atom_site_label
_atom_site_fract_x
_atom_site_fract_y
_atom_site_fract_z
Ho1 0.000 0.000 0.000
Al1 0.000 0.348 0.348
Al2 0.000 0.652 0.652
Al3 0.283 0.500 0.783
Al4 0.348 0.000 0.348
Al5 0.500 0.283 0.783
Al6 0.500 0.717 0.217
Al7 0.652 0.000 0.652
Al8 0.717 0.500 0.217
Cu1 0.000 0.000 0.500
Cu2 0.000 0.500 0.000
Cu3 0.500 0.000 0.000
Cu4 0.500 0.500 0.500
```

Main lines, low angle first (10° ≤ 2θ ≤ 80°):
6.213 Å, rel. 32
4.409 Å, rel. 35
3.110 Å, rel. 81
2.540 Å, rel. 31
2.206 Å, rel. 78
2.198 Å, rel. 100
1.556 Å, rel. 29
1.269 Å, rel. 28

---

Record 4
The following is a computed X-ray diffraction stick pattern of HoAl6Cu6. It was derived from the PBE geometry in the Materials Project, using Cu Ka.
Neutral-atom scattering factors, no anomalous dispersion.

Cell and atoms:
```
data_HoAl6Cu6
_chemical_formula_sum 'Ho1 Al6 Cu6'
_cell_length_a 6.613
_cell_length_b 6.613
_cell_length_c 6.613
_cell_angle_alpha 134.69
_cell_angle_beta 99.01
_cell_angle_gamma 98.06
_symmetry_space_group_name_H-M 'P 1'
_symmetry_Int_Tables_number 1
_symmetry_space_group_name_Hall 'P 1'
loop_
_atom_site_label
_atom_site_fract_x
_atom_site_fract_y
_atom_site_fract_z
Ho1 0.000 0.000 0.000
Al1 0.209 0.709 0.500
Al2 0.345 0.000 0.345
Al3 0.349 0.349 0.000
Al4 0.651 0.651 0.000
Al5 0.655 0.000 0.655
Al6 0.791 0.291 0.500
Cu1 0.000 0.000 0.500
Cu2 0.000 0.500 0.000
Cu3 0.225 0.500 0.725
Cu4 0.500 0.000 0.000
Cu5 0.500 0.500 0.500
Cu6 0.775 0.500 0.275
```

Main lines, low angle first (10° ≤ 2θ ≤ 80°):
6.102 Å, rel. 52
3.071 Å, rel. 61
2.196 Å, rel. 74
2.191 Å, rel. 35
2.169 Å, rel. 100
2.163 Å, rel. 41
2.147 Å, rel. 41
1.535 Å, rel. 35

---

Record 5
The following is a computed X-ray diffraction stick pattern of HoAlCu4. It was derived from the PBE geometry in the Materials Project, using Cu Ka.
Neutral-atom scattering factors, no anomalous dispersion.

Cell and atoms:
```
data_HoAlCu4
_chemical_formula_sum 'Ho1 Al1 Cu4'
_cell_length_a 5.159
_cell_length_b 5.159
_cell_length_c 4.008
_cell_angle_alpha 90.00
_cell_angle_beta 90.00
_cell_angle_gamma 120.00
_symmetry_space_group_name_H-M 'P 1'
_symmetry_Int_Tables_number 1
_symmetry_space_group_name_Hall 'P 1'
loop_
_atom_site_label
_atom_site_fract_x
_atom_site_fract_y
_atom_site_fract_z
Ho1 0.000 0.000 0.000
Al1 0.333 0.667 0.000
Cu1 0.501 0.002 0.500
Cu2 0.501 0.499 0.500
Cu3 0.667 0.333 0.000
Cu4 0.998 0.499 0.500
```

Main lines, low angle first (10° ≤ 2θ ≤ 80°):
2.984 Å, rel. 80
2.580 Å, rel. 28
2.234 Å, rel. 53
2.169 Å, rel. 100
2.004 Å, rel. 26
1.556 Å, rel. 23
1.492 Å, rel. 28
1.396 Å, rel. 23

---

Record 6
The following is a computed X-ray diffraction stick pattern of AlInCuO4. It was derived from the PBE geometry in the Materials Project, using Cu Ka.
Neutral-atom scattering factors, no anomalous dispersion.

Cell and atoms:
```
data_AlInCuO4
_chemical_formula_sum 'Al1 In1 Cu1 O4'
_cell_length_a 8.519
_cell_length_b 8.519
_cell_length_c 8.519
_cell_angle_alpha 22.68
_cell_angle_beta 22.68
_cell_angle_gamma 22.68
_symmetry_space_group_name_H-M 'P 1'
_symmetry_Int_Tables_number 1
_symmetry_space_group_name_Hall 'P 1'
loop_
_atom_site_label
_atom_site_fract_x
_atom_site_fract_y
_atom_site_fract_z
Al1 0.000 0.000 0.000
In1 0.787 0.787 0.787
Cu1 0.575 0.575 0.575
O1 0.074 0.074 0.074
O2 0.495 0.495 0.495
O3 0.664 0.664 0.664
O4 0.925 0.925 0.925
```

Main lines, low angle first (10° ≤ 2θ ≤ 80°):
8.297 Å, rel. 46
4.148 Å, rel. 43
2.882 Å, rel. 100
2.766 Å, rel. 42
2.630 Å, rel. 79
2.507 Å, rel. 66
1.889 Å, rel. 47
1.675 Å, rel. 54

---

Record 7
The following is a computed X-ray diffraction stick pattern of AlInCu2S4. It was derived from the PBE geometry in the Materials Project, using Cu Ka.
Neutral-atom scattering factors, no anomalous dispersion.

Cell and atoms:
```
data_AlInCu2S4
_chemical_formula_sum 'Al2 In2 Cu4 S8'
_cell_length_a 5.474
_cell_length_b 5.474
_cell_length_c 10.841
_cell_angle_alpha 90.00
_cell_angle_beta 90.00
_cell_angle_gamma 90.00
_symmetry_space_group_name_H-M 'P 1'
_symmetry_Int_Tables_number 1
_symmetry_space_group_name_Hall 'P 1'
loop_
_atom_site_label
_atom_site_fract_x
_atom_site_fract_y
_atom_site_fract_z
Al1 0.000 0.000 0.000
Al2 0.500 0.500 0.500
In1 0.000 0.500 0.250
In2 0.500 0.000 0.750
Cu1 0.000 0.000 0.500
Cu2 0.000 0.500 0.750
Cu3 0.500 0.000 0.250
Cu4 0.500 0.500 0.000
S1 0.232 0.257 0.883
S2 0.243 0.732 0.617
S3 0.257 0.768 0.117
S4 0.268 0.243 0.383
S5 0.732 0.757 0.383
S6 0.743 0.232 0.117
S7 0.757 0.268 0.617
S8 0.768 0.743 0.883
```

Main lines, low angle first (10° ≤ 2θ ≤ 80°):
4.887 Å, rel. 9
3.150 Å, rel. 100
2.737 Å, rel. 8
1.935 Å, rel. 20
1.926 Å, rel. 40
1.649 Å, rel. 27
1.637 Å, rel. 13
1.250 Å, rel. 10

---

Record 8
The following is a computed X-ray diffraction stick pattern of AlInCu2Se4. It was derived from the PBE geometry in the Materials Project, using Cu Ka.
Neutral-atom scattering factors, no anomalous dispersion.

Cell and atoms:
```
data_AlInCu2Se4
_chemical_formula_sum 'Al2 In2 Cu4 Se8'
_cell_length_a 5.761
_cell_length_b 5.761
_cell_length_c 11.437
_cell_angle_alpha 90.00
_cell_angle_beta 90.00
_cell_angle_gamma 90.00
_symmetry_space_group_name_H-M 'P 1'
_symmetry_Int_Tables_number 1
_symmetry_space_group_name_Hall 'P 1'
loop_
_atom_site_label
_atom_site_fract_x
_atom_site_fract_y
_atom_site_fract_z
Al1 0.000 0.000 0.000
Al2 0.500 0.500 0.500
In1 0.000 0.500 0.250
In2 0.500 0.000 0.750
Cu1 0.000 0.000 0.500
Cu2 0.000 0.500 0.750
Cu3 0.500 0.000 0.250
Cu4 0.500 0.500 0.000
Se1 0.233 0.263 0.882
Se2 0.237 0.733 0.618
Se3 0.263 0.767 0.118
Se4 0.267 0.237 0.382
Se5 0.733 0.763 0.382
Se6 0.737 0.233 0.118
Se7 0.763 0.267 0.618
Se8 0.767 0.737 0.882
```

Main lines, low angle first (10° ≤ 2θ ≤ 80°):
3.318 Å, rel. 100
2.037 Å, rel. 24
2.029 Å, rel. 48
1.736 Å, rel. 29
1.727 Å, rel. 14
1.440 Å, rel. 7
1.321 Å, rel. 5
1.317 Å, rel. 11

---

Record 9
The following is a computed X-ray diffraction stick pattern of AlIn3Cu4Se8. It was derived from the PBE geometry in the Materials Project, using Cu Ka.
Neutral-atom scattering factors, no anomalous dispersion.

Cell and atoms:
```
data_AlIn3Cu4Se8
_chemical_formula_sum 'Al1 In3 Cu4 Se8'
_cell_length_a 5.830
_cell_length_b 7.116
_cell_length_c 10.888
_cell_angle_alpha 89.78
_cell_angle_beta 74.47
_cell_angle_gamma 65.82
_symmetry_space_group_name_H-M 'P 1'
_symmetry_Int_Tables_number 1
_symmetry_space_group_name_Hall 'P 1'
loop_
_atom_site_label
_atom_site_fract_x
_atom_site_fract_y
_atom_site_fract_z
Al1 0.000 0.000 0.000
In1 0.126 0.124 0.628
In2 0.500 0.500 0.500
In3 0.625 0.626 0.122
Cu1 0.252 0.248 0.248
Cu2 0.374 0.374 0.877
Cu3 0.749 0.752 0.752
Cu4 0.877 0.876 0.373
Se1 0.028 0.813 0.562
Se2 0.160 0.956 0.189
Se3 0.320 0.060 0.827
Se4 0.453 0.170 0.422
Se5 0.564 0.291 0.058
Se6 0.670 0.454 0.705
Se7 0.846 0.563 0.311
Se8 0.959 0.694 0.927
```

Main lines, low angle first (10° ≤ 2θ ≤ 80°):
3.360 Å, rel. 100
2.061 Å, rel. 24
2.056 Å, rel. 48
1.757 Å, rel. 28
1.751 Å, rel. 14
1.457 Å, rel. 7
1.337 Å, rel. 5
1.334 Å, rel. 11

---

Record 10
The following is a computed X-ray diffraction stick pattern of LaAl2Cu3. It was derived from the PBE geometry in the Materials Project, using Cu Ka.
Neutral-atom scattering factors, no anomalous dispersion.

Cell and atoms:
```
data_LaAl2Cu3
_chemical_formula_sum 'La2 Al4 Cu6'
_cell_length_a 5.372
_cell_length_b 9.040
_cell_length_c 4.212
_cell_angle_alpha 90.00
_cell_angle_beta 90.00
_cell_angle_gamma 90.00
_symmetry_space_group_name_H-M 'P 1'
_symmetry_Int_Tables_number 1
_symmetry_space_group_name_Hall 'P 1'
loop_
_atom_site_label
_atom_site_fract_x
_atom_site_fract_y
_atom_site_fract_z
La1 0.000 0.000 0.000
La2 0.500 0.500 0.000
Al1 0.250 0.250 0.500
Al2 0.250 0.750 0.500
Al3 0.750 0.250 0.500
Al4 0.750 0.750 0.500
Cu1 0.000 0.335 0.000
Cu2 0.000 0.500 0.500
Cu3 0.000 0.665 0.000
Cu4 0.500 0.000 0.500
Cu5 0.500 0.165 0.000
Cu6 0.500 0.835 0.000
```

Main lines, low angle first (10° ≤ 2θ ≤ 80°):
4.212 Å, rel. 26
3.112 Å, rel. 39
2.686 Å, rel. 30
2.628 Å, rel. 29
2.264 Å, rel. 37
2.230 Å, rel. 100
2.106 Å, rel. 28
1.446 Å, rel. 24